Structure and simulated powder diffractogram of Ba5Pt2O9 (a crystal structure in the Materials Project, relaxed with PBE; Cu Kα X-rays).
Neutral-atom scattering factors, no anomalous dispersion.

Structure:
```
data_Ba5Pt2O9
_space_group_name_H-M_alt 'P 3 2 1'
_space_group_IT_number 150
_space_group_name_Hall 'P 3 2"'
_cell_length_a 10.3412
_cell_length_b 10.3412
_cell_length_c 9.0302
_cell_angle_alpha 90.00
_cell_angle_beta 90.00
_cell_angle_gamma 120.00
loop_
_atom_site_label
_atom_site_fract_x
_atom_site_fract_y
_atom_site_fract_z
_atom_site_occupancy
Ba1 0.0000 0.0000 0.0000 1
Ba2 0.0000 0.3290 0.5000 1
Ba3 0.0000 0.3662 0.0000 1
Ba4 0.0323 0.6967 0.2639 1
Ba5 0.3333 0.6667 0.7520 1
Pt1 0.0000 0.0000 0.3454 1
Pt2 0.3333 0.6667 0.0983 1
Pt3 0.3333 0.6667 0.4078 1
O1 0.0000 0.8519 0.5000 1
O2 0.0062 0.1740 0.7789 1
O3 0.1725 0.5220 0.2530 1
O4 0.1746 0.6846 0.9730 1
O5 0.1760 0.6825 0.5328 1
```

Principal peaks in the range 10 to 90 degrees two-theta, sorted by position:
| 2θ/deg | Rel. int. | (hkl) |
| --- | --- | --- |
| 13.9 | 14 | 1 0 1 |
| 17.1 | 36 | 1 1 0 |
| 26.2 | 50 | 1 1 2 |
| 29.9 | 100 | 3 0 0 |
| 35.9 | 22 | 2 0 3 |
| 40.1 | 29 | 1 2 3 |
| 40.2 | 27 | 2 2 2 |
| 50.9 | 14 | 0 4 3 |
| 53.1 | 17 | 3 3 0 |
| 54.0 | 18 | 2 3 3 |